1.
Structure and theoretical powder diffraction line list of HfFe2GeH (a DFT-relaxed cell (GGA-PBE, Alexandria); a wavelength of 1.5418 Å).
Kinematic intensities with the Lorentz-polarization factor, no thermal factor.

Principal peaks in the range 2θ = 15–90°, in order of rising 2θ:
d (Å)	2theta	I (rel.)
3.550	25.1	33
3.137	28.5	22
2.925	30.6	21
2.425	37.1	33
2.379	37.8	53
2.351	38.3	100
2.255	40.0	66
2.151	42.0	19
2.087	43.4	41
1.678	54.7	19
1.646	55.8	21
1.322	71.3	20

Structural model:
Unit cell a=5.4163 b=5.4163 c=7.1009 alpha=90.00 beta=90.00 gamma=144.61
Sites, in units of the cell vectors:
Hf (0.0374, 0.9626, 0.7500)
Hf (0.9626, 0.0374, 0.2500)
Fe (0.3489, 0.6511, 0.5510)
Fe (0.3489, 0.6511, 0.9490)
Fe (0.6511, 0.3489, 0.0510)
Fe (0.6511, 0.3489, 0.4490)
Ge (0.2415, 0.7585, 0.2500)
Ge (0.7585, 0.2415, 0.7500)
H (0.5000, 0.5000, 0.0000)
H (0.5000, 0.5000, 0.5000)

2.
Structure and theoretical powder diffraction line list of NaTb2RuO5 (a DFT-relaxed cell (GGA-PBE, Alexandria); a wavelength of 1.5418 Å).
Kinematic intensities with the Lorentz-polarization factor, no thermal factor.

Principal peaks in the range 2θ = 15–90°, in order of rising 2θ:
d (Å)	2theta	I (rel.)
5.745	15.4	62
4.670	19.0	44
2.954	30.3	35
2.872	31.1	42
2.863	31.2	100
2.627	34.1	86
2.335	38.6	21
2.059	44.0	63
1.963	46.3	40
1.607	57.3	20
1.543	60.0	26
1.399	66.9	20

Structural model:
Unit cell a=6.6046 b=6.6046 c=5.7450 alpha=90.00 beta=90.00 gamma=90.00
Sites, in units of the cell vectors:
Na (0.0000, 0.0000, 0.0000)
Na (0.5000, 0.5000, 0.0000)
Tb (0.1770, 0.3230, 0.5000)
Tb (0.3230, 0.8230, 0.5000)
Tb (0.6770, 0.1770, 0.5000)
Tb (0.8230, 0.6770, 0.5000)
Ru (0.0000, 0.5000, 0.0000)
Ru (0.5000, 0.0000, 0.0000)
O (0.0000, 0.0000, 0.5000)
O (0.1377, 0.6377, 0.2531)
O (0.1377, 0.6377, 0.7469)
O (0.3623, 0.1377, 0.2531)
O (0.3623, 0.1377, 0.7469)
O (0.5000, 0.5000, 0.5000)
O (0.6377, 0.8623, 0.2531)
O (0.6377, 0.8623, 0.7469)
O (0.8623, 0.3623, 0.2531)
O (0.8623, 0.3623, 0.7469)

3.
Structure and theoretical powder diffraction line list of SrYSi4N7 (a DFT-relaxed cell (GGA-PBE, Alexandria); a wavelength of 1.5418 Å).
Kinematic intensities with the Lorentz-polarization factor, no thermal factor.

Principal peaks in the range 2θ = 15–90°, in order of rising 2θ:
d (Å)	2theta	I (rel.)
3.031	29.5	63
2.791	32.1	100
2.584	34.7	87
2.537	35.4	65
2.053	44.1	16
1.700	53.9	35
1.649	55.7	27
1.579	58.4	33
1.515	61.2	35
1.332	70.7	20
1.131	85.9	14
1.116	87.4	21

Structural model:
Unit cell a=6.0614 b=6.0614 c=9.8871 alpha=90.00 beta=90.00 gamma=120.00
Sites, in units of the cell vectors:
Sr (0.3333, 0.6667, 0.0000)
Sr (0.6667, 0.3333, 0.5000)
Y (0.3333, 0.6667, 0.3691)
Y (0.6667, 0.3333, 0.8691)
Si (0.0000, 0.0000, 0.4461)
Si (0.0000, 0.0000, 0.9461)
Si (0.1740, 0.3479, 0.6785)
Si (0.1740, 0.8260, 0.6785)
Si (0.3479, 0.1740, 0.1785)
Si (0.6521, 0.8260, 0.6785)
Si (0.8260, 0.1740, 0.1785)
Si (0.8260, 0.6521, 0.1785)
N (0.0000, 0.0000, 0.2553)
N (0.0000, 0.0000, 0.7553)
N (0.0231, 0.5116, 0.7304)
N (0.1529, 0.3058, 0.5059)
N (0.1529, 0.8471, 0.5059)
N (0.3058, 0.1529, 0.0059)
N (0.4884, 0.5116, 0.7304)
N (0.4884, 0.9769, 0.7304)
N (0.5116, 0.0231, 0.2304)
N (0.5116, 0.4884, 0.2304)
N (0.6942, 0.8471, 0.5059)
N (0.8471, 0.1529, 0.0059)
N (0.8471, 0.6942, 0.0059)
N (0.9769, 0.4884, 0.2304)

4.
Structure and theoretical powder diffraction line list of ScHgSb (a DFT-relaxed cell (GGA-PBE, Alexandria); a wavelength of 1.5418 Å).
Kinematic intensities with the Lorentz-polarization factor, no thermal factor.

Principal peaks in the range 2θ = 15–90°, in order of rising 2θ:
d (Å)	2theta	I (rel.)
4.808	18.5	23
3.627	24.5	23
3.355	26.6	64
2.863	31.2	62
2.852	31.4	70
2.756	32.5	23
2.746	32.6	27
2.690	33.3	100
2.319	38.8	23
2.263	39.8	20
1.821	50.1	20
1.781	51.3	18

Structural model:
Unit cell a=5.8803 b=5.8803 c=6.7093 alpha=124.54 beta=124.54 gamma=66.18
Sites, in units of the cell vectors:
Sc (0.0077, 0.9923, 0.5000)
Sc (0.9923, 0.0077, 0.0000)
Hg (0.2443, 0.5275, 0.1262)
Hg (0.5275, 0.2443, 0.6262)
Sb (0.5027, 0.9244, 0.9696)
Sb (0.9244, 0.5027, 0.4696)

5.
Structure and theoretical powder diffraction line list of La2Al3HgPt4 (a DFT-relaxed cell (GGA-PBE, Alexandria); a wavelength of 1.5418 Å).
Kinematic intensities with the Lorentz-polarization factor, no thermal factor.

Principal peaks in the range 2θ = 15–90°, in order of rising 2θ:
d (Å)	2theta	I (rel.)
4.037	22.0	10
3.628	24.5	12
3.396	26.2	22
2.958	30.2	12
2.785	32.1	19
2.676	33.5	100
2.173	41.6	46
2.037	44.5	19
1.946	46.7	19
1.537	60.2	16
1.450	64.2	14
1.333	70.7	23

Structural model:
Unit cell a=4.3465 b=4.3465 c=10.8848 alpha=90.00 beta=90.00 gamma=90.00
Sites, in units of the cell vectors:
La (0.0000, 0.5000, 0.2456)
La (0.5000, 0.0000, 0.7544)
Al (0.0000, 0.5000, 0.8840)
Al (0.5000, 0.0000, 0.1160)
Al (0.5000, 0.5000, 0.5000)
Hg (0.0000, 0.0000, 0.5000)
Pt (0.0000, 0.0000, 0.0000)
Pt (0.0000, 0.5000, 0.6573)
Pt (0.5000, 0.0000, 0.3427)
Pt (0.5000, 0.5000, 0.0000)

6.
Structure and theoretical powder diffraction line list of NdMg10Hg2 (a DFT-relaxed cell (GGA-PBE, Alexandria); a wavelength of 1.5418 Å).
Kinematic intensities with the Lorentz-polarization factor, no thermal factor.

Principal peaks in the range 2θ = 15–90°, in order of rising 2θ:
d (Å)	2theta	I (rel.)
5.024	17.7	44
3.562	25.0	30
3.543	25.1	31
3.174	28.1	57
2.780	32.2	39
2.589	34.6	100
2.512	35.7	54
2.302	39.1	33
2.191	41.2	46
1.805	50.6	23
1.801	50.7	24
1.465	63.5	23

Structural model:
Unit cell a=10.0486 b=7.7385 c=7.7037 alpha=81.19 beta=49.55 gamma=49.25
Sites, in units of the cell vectors:
Nd (0.0000, 0.0000, 0.0000)
Mg (0.0000, 0.5000, 0.0000)
Mg (0.0054, 0.6507, 0.3493)
Mg (0.2859, 0.5038, 0.4962)
Mg (0.3493, 0.9946, 0.0054)
Mg (0.4962, 0.7141, 0.2859)
Mg (0.5000, 0.0000, 0.5000)
Mg (0.5038, 0.2859, 0.7141)
Mg (0.6507, 0.0054, 0.9946)
Mg (0.7141, 0.4962, 0.5038)
Mg (0.9946, 0.3493, 0.6507)
Hg (0.0000, 0.0000, 0.5000)
Hg (0.5000, 0.5000, 0.0000)

7.
Structure and theoretical powder diffraction line list of Zn10Pt4Au (a DFT-relaxed cell (GGA-PBE, Alexandria); a wavelength of 1.5418 Å).
Kinematic intensities with the Lorentz-polarization factor, no thermal factor.

Principal peaks in the range 2θ = 15–90°, in order of rising 2θ:
d (Å)	2theta	I (rel.)
3.467	25.7	84
3.003	29.8	3
2.123	42.6	100
1.811	50.4	41
1.501	61.8	16
1.379	68.0	8
1.377	68.1	8
1.343	70.1	2
1.227	77.8	8
1.225	78.0	25
1.157	83.6	3
1.155	83.7	10

Structural model:
Unit cell a=17.5330 b=17.5330 c=17.5330 alpha=13.90 beta=13.90 gamma=13.90
Sites, in units of the cell vectors:
Zn (0.0489, 0.0489, 0.0489)
Zn (0.1476, 0.1476, 0.1476)
Zn (0.2508, 0.2508, 0.2508)
Zn (0.3501, 0.3501, 0.3501)
Zn (0.4478, 0.4478, 0.4478)
Zn (0.5522, 0.5522, 0.5522)
Zn (0.6499, 0.6499, 0.6499)
Zn (0.7492, 0.7492, 0.7492)
Zn (0.8524, 0.8524, 0.8524)
Zn (0.9511, 0.9511, 0.9511)
Pt (0.0987, 0.0987, 0.0987)
Pt (0.3004, 0.3004, 0.3004)
Pt (0.6996, 0.6996, 0.6996)
Pt (0.9013, 0.9013, 0.9013)
Au (0.5000, 0.5000, 0.5000)

8.
Structure and theoretical powder diffraction line list of RuAu2 (a DFT-relaxed cell (GGA-PBE, Alexandria); a wavelength of 1.5418 Å).
Kinematic intensities with the Lorentz-polarization factor, no thermal factor.

Principal peaks in the range 2θ = 15–90°, in order of rising 2θ:
d (Å)	2theta	I (rel.)
3.351	26.6	20
2.769	32.3	46
2.471	36.4	92
2.252	40.0	100
2.234	40.4	45
1.948	46.6	58
1.802	50.7	36
1.392	67.3	23
1.372	68.3	41
1.213	78.9	20
1.184	81.2	26
1.181	81.5	24

Structural model:
Unit cell a=13.5466 b=13.5466 c=13.5466 alpha=168.20 beta=168.20 gamma=16.71
Sites, in units of the cell vectors:
Ru (0.3750, 0.6250, 0.7500)
Ru (0.6250, 0.3750, 0.2500)
Au (0.0472, 0.7972, 0.2500)
Au (0.2028, 0.9528, 0.2500)
Au (0.7972, 0.0472, 0.7500)
Au (0.9528, 0.2028, 0.7500)

9.
Structure and theoretical powder diffraction line list of NiOsPt (a DFT-relaxed cell (GGA-PBE, Alexandria); a wavelength of 1.5418 Å).
Kinematic intensities with the Lorentz-polarization factor, no thermal factor.

Principal peaks in the range 2θ = 15–90°, in order of rising 2θ:
d (Å)	2theta	I (rel.)
4.050	21.9	14
3.381	26.4	27
2.592	34.6	14
2.204	40.9	100
2.185	41.3	95
1.922	47.3	64
1.860	49.0	30
1.337	70.4	39
1.160	83.3	25
1.151	84.1	22
1.130	86.1	12
1.127	86.3	12

Structural model:
Unit cell a=2.7360 b=3.7208 c=8.0994 alpha=90.00 beta=90.00 gamma=90.00
Sites, in units of the cell vectors:
Ni (0.2500, 0.2500, 0.2419)
Ni (0.7500, 0.7500, 0.7581)
Os (0.2500, 0.2500, 0.9220)
Os (0.7500, 0.7500, 0.0780)
Pt (0.2500, 0.2500, 0.5953)
Pt (0.7500, 0.7500, 0.4047)

10.
Structure and theoretical powder diffraction line list of LiMnSi (a DFT-relaxed cell (GGA-PBE, Alexandria); a wavelength of 1.5418 Å).
Kinematic intensities with the Lorentz-polarization factor, no thermal factor.

Principal peaks in the range 2θ = 15–90°, in order of rising 2θ:
d (Å)	2theta	I (rel.)
5.690	15.6	9
2.306	39.1	38
2.066	43.8	100
1.892	48.1	39
1.866	48.8	30
1.838	49.6	39
1.626	56.6	10
1.338	70.4	12
1.328	70.9	9
1.233	77.4	15
1.137	85.4	9
1.123	86.7	25

Structural model:
Unit cell a=11.5361 b=11.5361 c=11.5361 alpha=166.68 beta=166.68 gamma=18.88
Sites, in units of the cell vectors:
Li (0.0673, 0.0673, 0.0000)
Li (0.9327, 0.9327, 0.0000)
Mn (0.2174, 0.2174, 0.0000)
Mn (0.7826, 0.7826, 0.0000)
Si (0.3501, 0.3501, 0.0000)
Si (0.6499, 0.6499, 0.0000)

11.
Structure and theoretical powder diffraction line list of PuPa3H6 (a DFT-relaxed cell (GGA-PBE, Alexandria); a wavelength of 1.5418 Å).
Kinematic intensities with the Lorentz-polarization factor, no thermal factor.

Principal peaks in the range 2θ = 15–90°, in order of rising 2θ:
d (Å)	2theta	I (rel.)
2.941	30.4	53
2.901	30.8	26
2.870	31.2	100
2.817	31.8	46
2.602	34.5	39
2.332	38.6	28
2.065	43.8	21
1.827	49.9	14
1.684	54.5	22
1.435	65.0	19
1.408	66.4	24
1.166	82.8	14

Structural model:
Unit cell a=6.5748 b=11.7627 c=3.2326 alpha=90.00 beta=90.00 gamma=90.00
Sites, in units of the cell vectors:
Pu (0.0000, 0.0000, 0.0000)
Pu (0.5000, 0.5000, 0.5000)
Pa (0.0000, 0.5000, 0.0000)
Pa (0.2492, 0.2489, 0.0000)
Pa (0.2508, 0.7489, 0.5000)
Pa (0.5000, 0.0000, 0.5000)
Pa (0.7492, 0.2511, 0.5000)
Pa (0.7508, 0.7511, 0.0000)
H (0.0515, 0.3536, 0.5000)
H (0.0624, 0.8175, 0.0000)
H (0.2023, 0.1049, 0.5000)
H (0.2977, 0.6049, 0.0000)
H (0.4376, 0.3175, 0.5000)
H (0.4485, 0.8536, 0.0000)
H (0.5515, 0.1464, 0.0000)
H (0.5624, 0.6825, 0.5000)
H (0.7023, 0.3951, 0.0000)
H (0.7977, 0.8951, 0.5000)
H (0.9376, 0.1825, 0.0000)
H (0.9485, 0.6464, 0.5000)

12.
Structure and theoretical powder diffraction line list of Nd2SmTe2S2 (a DFT-relaxed cell (GGA-PBE, Alexandria); a wavelength of 1.5418 Å).
Kinematic intensities with the Lorentz-polarization factor, no thermal factor.

Principal peaks in the range 2θ = 15–90°, in order of rising 2θ:
d (Å)	2theta	I (rel.)
3.659	24.3	99
2.728	32.8	100
2.704	33.1	8
2.587	34.7	59
1.877	48.5	67
1.829	49.8	21
1.636	56.2	20
1.519	61.0	17
1.364	68.8	10
1.310	72.1	20
1.169	82.5	14
1.157	83.6	9

Structural model:
Unit cell a=8.8217 b=8.8217 c=8.8217 alpha=145.89 beta=145.89 gamma=49.01
Sites, in units of the cell vectors:
Nd (0.1142, 0.1142, 0.0000)
Nd (0.8858, 0.8858, 0.0000)
Sm (0.5000, 0.5000, 0.0000)
Te (0.3111, 0.3111, 0.0000)
Te (0.6889, 0.6889, 0.0000)
S (0.0000, 0.5000, 0.5000)
S (0.5000, 0.0000, 0.5000)

13.
Structure and theoretical powder diffraction line list of Sr2AlZn4Si3 (a DFT-relaxed cell (GGA-PBE, Alexandria); a wavelength of 1.5418 Å).
Kinematic intensities with the Lorentz-polarization factor, no thermal factor.

Principal peaks in the range 2θ = 15–90°, in order of rising 2θ:
d (Å)	2theta	I (rel.)
3.019	29.6	14
2.907	30.8	14
2.749	32.6	56
2.634	34.0	100
2.135	42.3	55
2.010	45.1	13
1.924	47.2	30
1.686	54.4	25
1.509	61.4	17
1.429	65.3	22
1.310	72.1	21
1.139	85.2	12

Structural model:
Unit cell a=4.2693 b=4.2693 c=10.7788 alpha=90.00 beta=90.00 gamma=90.00
Sites, in units of the cell vectors:
Sr (0.0000, 0.5000, 0.2441)
Sr (0.5000, 0.0000, 0.7559)
Al (0.0000, 0.0000, 0.5000)
Zn (0.0000, 0.0000, 0.0000)
Zn (0.0000, 0.5000, 0.6379)
Zn (0.5000, 0.0000, 0.3621)
Zn (0.5000, 0.5000, 0.0000)
Si (0.0000, 0.5000, 0.8679)
Si (0.5000, 0.0000, 0.1321)
Si (0.5000, 0.5000, 0.5000)